Co4OF11: computed powder diffraction line list (Cu Kα, 1.54184 Å), based on a structure optimized by DFT (PBE+U).
Peak positions follow from Bragg's law for the DFT cell and can differ from measured ones.

The 8 most intense peaks (10° ≤ 2θ ≤ 90°), by angle:
25.17 deg, 3.538 Å, I = 100, (1 1 0); 25.60 deg, 3.480 Å, I = 49, (0 0 2); 34.68 deg, 2.587 Å, I = 14, (0 2 0); 35.10 deg, 2.557 Å, I = 28, (1 -1 2); 42.71 deg, 2.117 Å, I = 16, (2 -1 1); 43.23 deg, 2.093 Å, I = 11, (1 0 -3); 45.60 deg, 1.989 Å, I = 9, (2 0 -2); 57.00 deg, 1.616 Å, I = 15, (2 2 -2)

Crystal structure
a b c (Å): 4.850 5.193 6.985
angles (deg): 94.91 90.11 90.14
Fractional positions:
Co (0.000, 0.000, 0.000)
Co (0.001, 0.998, 0.500)
Co (0.496, 0.500, 0.990)
Co (0.497, 0.498, 0.515)
O (0.368, 0.502, 0.762)
F (0.142, 0.998, 0.752)
F (0.176, 0.688, 0.434)
F (0.184, 0.313, 0.069)
F (0.316, 0.176, 0.433)
F (0.317, 0.816, 0.068)
F (0.623, 0.499, 0.242)
F (0.683, 0.182, 0.928)
F (0.686, 0.822, 0.568)
F (0.819, 0.682, 0.930)
F (0.828, 0.312, 0.569)
F (0.860, 0.001, 0.248)